No. 1
Structure and computed PXRD pattern of Mg3WCl (a cell relaxed with GGA-PBE; Cu Kα (λ = 1.5418 Å)).
Intensities are scaled so that the largest is 100.

```
Mg3WCl
1.0
4.719 0.000 0.000
0.000 4.719 0.000
0.000 0.000 4.719
Mg W Cl
3 1 1
Direct
0.000 0.000 0.500
0.000 0.500 0.000
0.500 0.000 0.000
0.500 0.500 0.500
0.000 0.000 0.000
```

Most intense lines, 2θ from 10° to 80°, sorted by position:
18.80°, 4.719 Å, rel. 41
26.72°, 3.337 Å, rel. 100
32.87°, 2.725 Å, rel. 53
38.14°, 2.360 Å, rel. 46
42.85°, 2.110 Å, rel. 23
47.18°, 1.927 Å, rel. 42
55.04°, 1.668 Å, rel. 31
62.21°, 1.492 Å, rel. 18
65.61°, 1.423 Å, rel. 22
75.36°, 1.261 Å, rel. 21



No. 2
Structure and computed PXRD pattern of CsHg6Pd3 (a cell relaxed with GGA-PBE; Cu Kα (λ = 1.5418 Å)).
Intensities are scaled so that the largest is 100.

```
CsHg6Pd3
1.0
7.221 0.000 0.000
3.602 6.293 0.000
3.591 -2.033 6.097
Cs Hg Pd
1 6 3
Direct
0.000 0.000 0.000
0.318 0.202 0.506
0.510 0.972 0.995
0.541 0.511 0.983
0.698 0.486 0.505
0.969 0.522 0.988
0.971 0.837 0.509
0.175 0.426 0.239
0.453 0.776 0.322
0.499 0.257 0.747
```

Most intense lines, 2θ from 10° to 80°, sorted by position:
24.54°, 3.627 Å, rel. 46
28.53°, 3.129 Å, rel. 46
28.74°, 3.107 Å, rel. 94
28.88°, 3.091 Å, rel. 100
29.30°, 3.048 Å, rel. 70
34.74°, 2.582 Å, rel. 47
37.50°, 2.398 Å, rel. 30
37.92°, 2.373 Å, rel. 60
38.75°, 2.324 Å, rel. 58
43.34°, 2.088 Å, rel. 31



No. 3
Structure and computed PXRD pattern of SnH4Ru (a cell relaxed with GGA-PBE; Cu Kα (λ = 1.5418 Å)).
Intensities are scaled so that the largest is 100.

```
SnH4Ru
1.0
4.960 -2.099 0.000
4.960 2.099 0.000
-0.011 0.000 6.592
Sn H Ru
2 8 2
Direct
0.000 0.000 0.000
0.000 0.000 0.500
0.089 0.539 0.250
0.461 0.911 0.750
0.483 0.168 0.394
0.483 0.169 0.105
0.545 0.242 0.750
0.758 0.455 0.250
0.831 0.517 0.895
0.832 0.517 0.606
0.464 0.422 0.250
0.578 0.536 0.750
```

Most intense lines, 2θ from 10° to 80°, sorted by position:
17.88°, 4.960 Å, rel. 100
22.43°, 3.963 Å, rel. 15
35.80°, 2.508 Å, rel. 88
37.20°, 2.417 Å, rel. 13
43.09°, 2.099 Å, rel. 13
44.40°, 2.040 Å, rel. 30
47.01°, 1.933 Å, rel. 17
59.06°, 1.564 Å, rel. 9
74.24°, 1.277 Å, rel. 10
75.86°, 1.254 Å, rel. 8



No. 4
Structure and computed PXRD pattern of Ac3Tb2Cd3 (a cell relaxed with GGA-PBE; Cu Kα (λ = 1.5418 Å)).
Intensities are scaled so that the largest is 100.

```
Ac3Tb2Cd3
1.0
-1.975 2.881 11.718
1.975 -2.881 11.718
1.975 2.881 -11.718
Ac Tb Cd
3 2 3
Direct
0.000 0.000 0.000
0.375 0.875 0.500
0.625 0.125 0.500
0.235 0.235 0.000
0.765 0.765 0.000
0.128 0.628 0.500
0.500 0.500 0.000
0.872 0.372 0.500
```

Most intense lines, 2θ from 10° to 80°, sorted by position:
30.51°, 2.930 Å, rel. 24
31.05°, 2.881 Å, rel. 27
31.42°, 2.847 Å, rel. 100
44.09°, 2.054 Å, rel. 18
45.95°, 1.975 Å, rel. 9
54.80°, 1.675 Å, rel. 16
55.47°, 1.657 Å, rel. 20
56.49°, 1.629 Å, rel. 10
65.57°, 1.424 Å, rel. 11
73.18°, 1.293 Å, rel. 11



No. 5
Structure and computed PXRD pattern of Sm8Dy5In (a cell relaxed with GGA-PBE; Cu Kα (λ = 1.5418 Å)).
Intensities are scaled so that the largest is 100.

```
Sm8Dy5In
1.0
-5.251 5.384 4.208
5.251 -5.384 4.208
5.251 5.384 -4.208
Sm Dy In
8 5 1
Direct
0.160 0.000 0.160
0.348 0.185 0.838
0.348 0.510 0.162
0.445 0.483 0.583
0.445 0.862 0.961
0.840 0.000 0.840
0.901 0.483 0.039
0.901 0.862 0.417
0.004 0.318 0.686
0.359 0.859 0.500
0.631 0.318 0.314
0.989 0.290 0.300
0.989 0.689 0.700
0.681 0.681 0.000
```

Most intense lines, 2θ from 10° to 80°, sorted by position:
26.89°, 3.315 Å, rel. 40
27.01°, 3.302 Å, rel. 36
27.60°, 3.232 Å, rel. 49
31.97°, 2.799 Å, rel. 100
32.30°, 2.771 Å, rel. 100
33.02°, 2.713 Å, rel. 59
33.28°, 2.692 Å, rel. 24
33.92°, 2.643 Å, rel. 28
34.35°, 2.611 Å, rel. 39
49.67°, 1.836 Å, rel. 21



No. 6
Structure and computed PXRD pattern of Ca2CdGa2 (a cell relaxed with GGA-PBE; Cu Kα (λ = 1.5418 Å)).
Intensities are scaled so that the largest is 100.

```
Ca2CdGa2
1.0
-1.892 1.892 9.367
1.892 -1.892 9.367
1.892 1.892 -9.367
Ca Cd Ga
2 1 2
Direct
0.107 0.107 0.000
0.893 0.893 0.000
0.500 0.500 0.000
0.250 0.750 0.500
0.750 0.250 0.500
```

Most intense lines, 2θ from 10° to 80°, sorted by position:
18.95°, 4.683 Å, rel. 49
27.56°, 3.236 Å, rel. 54
33.66°, 2.662 Å, rel. 54
34.87°, 2.573 Å, rel. 100
38.44°, 2.342 Å, rel. 23
44.60°, 2.032 Å, rel. 27
48.09°, 1.892 Å, rel. 29
59.98°, 1.542 Å, rel. 19
60.31°, 1.535 Å, rel. 28
63.18°, 1.472 Å, rel. 20



No. 7
Structure and computed PXRD pattern of PaFe4Sb12 (a cell relaxed with GGA-PBE; Cu Kα (λ = 1.5418 Å)).
Intensities are scaled so that the largest is 100.

```
PaFe4Sb12
1.0
-4.570 4.570 4.570
4.570 -4.570 4.570
4.570 4.570 -4.570
Pa Fe Sb
1 4 12
Direct
0.000 0.000 0.000
0.000 0.000 0.500
0.000 0.500 0.000
0.500 0.000 0.000
0.500 0.500 0.500
0.163 0.332 0.495
0.163 0.668 0.830
0.170 0.837 0.332
0.332 0.170 0.837
0.332 0.495 0.163
0.495 0.163 0.332
0.505 0.837 0.668
0.668 0.505 0.837
0.668 0.830 0.163
0.830 0.163 0.668
0.837 0.332 0.170
0.837 0.668 0.505
```

Most intense lines, 2θ from 10° to 80°, sorted by position:
30.94°, 2.890 Å, rel. 100
36.80°, 2.443 Å, rel. 59
44.32°, 2.044 Å, rel. 7
48.82°, 1.866 Å, rel. 25
50.95°, 1.792 Å, rel. 24
58.92°, 1.567 Å, rel. 17
60.81°, 1.523 Å, rel. 13
62.66°, 1.483 Å, rel. 11
69.79°, 1.348 Å, rel. 19
73.23°, 1.292 Å, rel. 7



No. 8
Structure and computed PXRD pattern of La2Nd3Dy2 (a cell relaxed with GGA-PBE; Cu Kα (λ = 1.5418 Å)).
Intensities are scaled so that the largest is 100.

```
La2Nd3Dy2
1.0
6.029 -1.837 0.000
6.029 1.837 0.000
-1.091 0.000 10.945
La Nd Dy
2 3 2
Direct
0.216 0.216 0.355
0.784 0.784 0.645
0.358 0.358 0.930
0.500 0.500 0.500
0.642 0.642 0.070
0.070 0.070 0.788
0.930 0.930 0.212
```

Most intense lines, 2θ from 10° to 80°, sorted by position:
29.85°, 2.993 Å, rel. 100
30.10°, 2.969 Å, rel. 33
34.68°, 2.587 Å, rel. 67
49.69°, 1.835 Å, rel. 24
49.98°, 1.825 Å, rel. 16
59.05°, 1.564 Å, rel. 14
59.15°, 1.562 Å, rel. 19
59.28°, 1.559 Å, rel. 10
59.49°, 1.554 Å, rel. 14
61.95°, 1.498 Å, rel. 8



No. 9
Structure and computed PXRD pattern of Ac3LaSb3 (a cell relaxed with GGA-PBE; Cu Kα (λ = 1.5418 Å)).
Intensities are scaled so that the largest is 100.

```
Ac3LaSb3
1.0
9.989 0.000 0.000
0.000 9.989 0.000
0.000 0.000 9.989
Ac La Sb
12 4 12
Direct
0.069 0.431 0.569
0.178 0.822 0.322
0.181 0.181 0.181
0.319 0.819 0.681
0.322 0.178 0.822
0.431 0.569 0.069
0.569 0.069 0.431
0.678 0.678 0.678
0.681 0.319 0.819
0.819 0.681 0.319
0.822 0.322 0.178
0.931 0.931 0.931
0.070 0.570 0.930
0.430 0.430 0.430
0.570 0.930 0.070
0.930 0.070 0.570
0.002 0.255 0.873
0.127 0.502 0.245
0.245 0.127 0.502
0.255 0.873 0.002
0.373 0.498 0.745
0.498 0.745 0.373
0.502 0.245 0.127
0.627 0.998 0.755
0.745 0.373 0.498
0.755 0.627 0.998
0.873 0.002 0.255
0.998 0.755 0.627
```

Most intense lines, 2θ from 10° to 80°, sorted by position:
21.79°, 4.078 Å, rel. 8
25.22°, 3.532 Å, rel. 9
28.25°, 3.159 Å, rel. 100
33.57°, 2.670 Å, rel. 67
44.43°, 2.039 Å, rel. 21
46.35°, 1.959 Å, rel. 31
56.82°, 1.620 Å, rel. 25
58.43°, 1.579 Å, rel. 13
60.02°, 1.541 Å, rel. 16
69.10°, 1.359 Å, rel. 15



No. 10
Structure and computed PXRD pattern of H2S (a cell relaxed with GGA-PBE; Cu Kα (λ = 1.5418 Å)).
Intensities are scaled so that the largest is 100.

```
H2S
1.0
-4.471 4.639 5.002
4.471 -4.639 5.002
4.471 4.639 -5.002
H S
16 8
Direct
0.088 0.101 0.324
0.105 0.757 0.485
0.222 0.399 0.487
0.228 0.380 0.985
0.272 0.257 0.152
0.278 0.765 0.176
0.395 0.880 0.652
0.412 0.735 0.013
0.588 0.265 0.987
0.605 0.120 0.348
0.722 0.235 0.824
0.728 0.743 0.848
0.772 0.620 0.015
0.778 0.601 0.513
0.895 0.243 0.515
0.912 0.899 0.676
0.244 0.750 0.994
0.250 0.215 0.965
0.250 0.715 0.465
0.256 0.250 0.506
0.744 0.750 0.494
0.750 0.285 0.535
0.750 0.785 0.035
0.756 0.250 0.006
```

Most intense lines, 2θ from 10° to 80°, sorted by position:
23.81°, 3.736 Å, rel. 9
26.20°, 3.401 Å, rel. 100
26.74°, 3.334 Å, rel. 88
27.71°, 3.219 Å, rel. 77
35.91°, 2.501 Å, rel. 18
38.82°, 2.319 Å, rel. 13
45.95°, 1.975 Å, rel. 30
47.77°, 1.904 Å, rel. 26
48.74°, 1.868 Å, rel. 18
53.91°, 1.701 Å, rel. 10



No. 11
Structure and computed PXRD pattern of Sm3Si3Au (a cell relaxed with GGA-PBE; Cu Kα (λ = 1.5418 Å)).
Intensities are scaled so that the largest is 100.

```
Sm3Si3Au
1.0
-2.010 2.168 9.192
2.010 -2.168 9.192
2.010 2.168 -9.192
Sm Si Au
3 3 1
Direct
0.000 0.000 0.000
0.193 0.693 0.500
0.370 0.370 0.000
0.537 0.537 0.000
0.753 0.253 0.500
0.831 0.831 0.000
0.621 0.121 0.500
```

Most intense lines, 2θ from 10° to 80°, sorted by position:
25.16°, 3.539 Å, rel. 12
26.52°, 3.362 Å, rel. 22
31.89°, 2.806 Å, rel. 100
41.05°, 2.199 Å, rel. 15
41.67°, 2.168 Å, rel. 15
45.10°, 2.010 Å, rel. 12
50.08°, 1.821 Å, rel. 15
56.31°, 1.634 Å, rel. 14
59.92°, 1.544 Å, rel. 10
69.94°, 1.345 Å, rel. 12



No. 12
Structure and computed PXRD pattern of ThCoAs (a cell relaxed with GGA-PBE; Cu Kα (λ = 1.5418 Å)).
Intensities are scaled so that the largest is 100.

```
ThCoAs
1.0
4.100 0.000 0.000
0.000 7.298 0.000
0.000 0.000 3.980
Th Co As
2 2 2
Direct
0.000 0.000 0.000
0.500 0.500 0.000
0.000 0.331 0.500
0.000 0.669 0.500
0.500 0.184 0.500
0.500 0.816 0.500
```

Most intense lines, 2θ from 10° to 80°, sorted by position:
24.39°, 3.649 Å, rel. 13
24.91°, 3.575 Å, rel. 34
33.31°, 2.690 Å, rel. 60
33.70°, 2.659 Å, rel. 100
43.24°, 2.092 Å, rel. 40
44.17°, 2.050 Å, rel. 19
45.59°, 1.990 Å, rel. 18
56.43°, 1.631 Å, rel. 27
64.64°, 1.442 Å, rel. 24
72.76°, 1.300 Å, rel. 14